In2OsCl: theoretical powder XRD pattern (Cu Ka), based on the GGA-PBE geometry in Alexandria.
Neutral-atom scattering factors, no anomalous dispersion.

```
In2OsCl
1.0
3.304 0.000 0.000
0.000 3.242 0.000
-0.016 0.000 7.887
In Os Cl
2 1 1
Direct
0.001 0.000 0.200
0.999 0.000 0.800
0.500 0.500 0.000
0.000 0.500 0.500
```

Top 10 peaks for 2θ from 15° to 90°, in order of rising 2θ:
2θ (°)  I/Imax  hkl
29.31  23  1 0 1
35.44  71  1 0 2
35.86  100  0 1 2
38.92  70  1 1 0
40.63  72  1 1 -1
44.01  56  1 0 -3
44.36  38  0 1 3
67.97  30  2 1 2
68.75  21  1 2 2
74.52  23  1 2 -3